Computed X-ray powder pattern of NaAl2Sb for CuKα, from DFT lattice parameters and positions (PBE).
Lines closer than 0.1° are merged.

Structure:
```
NaAl2Sb
1.0
5.107 0.000 0.000
-2.553 4.422 0.000
0.000 0.000 8.649
Na Al Sb
2 4 2
direct
0.000 0.000 0.000
0.000 0.000 0.500
0.333 0.667 0.091
0.333 0.667 0.409
0.667 0.333 0.591
0.667 0.333 0.909
0.333 0.667 0.750
0.667 0.333 0.250
```

Top 10 peaks for 10 to 90 degrees two-theta, low angle first:
| Position (°2θ) | intensity |
| --- | --- |
| 20.08 | 426 |
| 22.58 | 966 |
| 28.88 | 462 |
| 35.15 | 1000 |
| 37.23 | 975 |
| 41.05 | 180 |
| 42.18 | 190 |
| 52.13 | 363 |
| 63.06 | 174 |
| 64.43 | 380 |

Computed X-ray powder pattern of TiPt for CuKα, from DFT lattice parameters and positions (PBE).
Lines closer than 0.1° are merged.

Structure:
```
TiPt
1.0
4.628 0.000 0.000
0.000 2.797 0.000
0.000 0.000 4.885
Ti Pt
2 2
direct
0.250 0.000 0.201
0.750 0.000 0.799
0.250 0.500 0.690
0.750 0.500 0.310
```

Top 10 peaks for 10 to 90 degrees two-theta, low angle first:
| Position (°2θ) | intensity |
| --- | --- |
| 18.16 | 129 |
| 26.53 | 587 |
| 32.00 | 218 |
| 36.80 | 230 |
| 38.92 | 356 |
| 41.82 | 259 |
| 42.03 | 1000 |
| 54.64 | 146 |
| 72.62 | 196 |
| 79.76 | 138 |

Computed X-ray powder pattern of LiTaNbAg2O6 for CuKα, from DFT lattice parameters and positions (PBE).
Lines closer than 0.1° are merged.

Structure:
```
LiTaNbAg2O6
1.0
2.904 -2.889 0.000
2.904 2.889 0.000
-0.033 0.000 8.076
Li Ta Nb Ag O
1 1 1 2 6
direct
0.000 0.000 0.000
0.398 0.398 0.498
0.483 0.483 0.997
0.883 0.883 0.300
0.887 0.887 0.698
0.391 0.915 0.499
0.444 0.444 0.252
0.445 0.445 0.744
0.490 0.977 0.997
0.915 0.391 0.499
0.977 0.490 0.997
```

Top 10 peaks for 10 to 90 degrees two-theta, low angle first:
| Position (°2θ) | intensity |
| --- | --- |
| 10.96 | 365 |
| 30.79 | 290 |
| 30.95 | 346 |
| 31.10 | 1000 |
| 32.77 | 105 |
| 40.03 | 133 |
| 40.14 | 127 |
| 44.22 | 322 |
| 45.70 | 134 |
| 55.08 | 170 |

Computed X-ray powder pattern of Pb3SO6 for CuKα, from DFT lattice parameters and positions (PBE).
Lines closer than 0.1° are merged.

Structure:
```
Pb3SO6
1.0
5.892 0.000 0.000
-0.205 7.433 0.000
-0.154 -1.985 8.084
Pb S O
6 2 12
direct
0.233 0.265 0.158
0.252 0.423 0.622
0.257 0.891 0.586
0.743 0.109 0.414
0.748 0.577 0.378
0.767 0.735 0.842
0.265 0.801 0.144
0.735 0.199 0.856
0.007 0.673 0.621
0.080 0.942 0.173
0.234 0.672 0.980
0.251 0.694 0.277
0.488 0.905 0.158
0.494 0.320 0.380
0.506 0.680 0.620
0.512 0.095 0.842
0.749 0.306 0.723
0.766 0.328 0.020
0.920 0.058 0.827
0.993 0.327 0.379
```

Top 10 peaks for 10 to 90 degrees two-theta, low angle first:
| Position (°2θ) | intensity |
| --- | --- |
| 10.94 | 578 |
| 26.42 | 873 |
| 27.08 | 925 |
| 28.58 | 1000 |
| 29.15 | 652 |
| 29.43 | 550 |
| 30.36 | 669 |
| 36.55 | 310 |
| 37.12 | 372 |
| 48.23 | 393 |

Computed X-ray powder pattern of Tm2Si9B36C for CuKα, from DFT lattice parameters and positions (PBE).
Lines closer than 0.1° are merged.

Structure:
```
Tm2Si9B36C
1.0
6.240 -5.054 0.000
6.240 5.054 0.000
-2.132 0.000 7.705
Tm Si B C
2 9 36 1
direct
0.250 0.750 0.000
0.750 0.250 0.000
0.013 0.013 0.840
0.016 0.405 0.245
0.095 0.484 0.754
0.180 0.180 0.072
0.322 0.322 0.927
0.405 0.016 0.245
0.484 0.095 0.754
0.488 0.488 0.161
0.706 0.706 0.542
0.027 0.768 0.482
0.122 0.772 0.299
0.122 0.954 0.477
0.162 0.575 0.392
0.163 0.858 0.672
0.188 0.628 0.622
0.305 0.876 0.374
0.329 0.643 0.323
0.330 0.930 0.606
0.376 0.549 0.519
0.376 0.731 0.697
0.454 0.744 0.506
0.549 0.376 0.519
0.552 0.732 0.874
0.574 0.860 0.089
0.575 0.162 0.392
0.628 0.188 0.622
0.628 0.628 0.063
0.641 0.931 0.918
0.643 0.329 0.323
0.731 0.376 0.697
0.732 0.552 0.874
0.744 0.454 0.506
0.745 0.745 0.795
0.768 0.027 0.482
0.768 0.768 0.225
0.771 0.952 0.128
0.772 0.122 0.299
0.858 0.163 0.672
0.860 0.574 0.089
0.876 0.305 0.374
0.876 0.876 0.944
0.930 0.330 0.606
0.931 0.641 0.918
0.952 0.771 0.128
0.954 0.122 0.477
0.818 0.818 0.433
```

Top 10 peaks for 10 to 90 degrees two-theta, low angle first:
| Position (°2θ) | intensity |
| --- | --- |
| 11.48 | 1000 |
| 14.73 | 570 |
| 17.55 | 443 |
| 21.02 | 406 |
| 23.02 | 682 |
| 23.89 | 905 |
| 29.76 | 654 |
| 34.76 | 384 |
| 35.57 | 488 |
| 39.23 | 493 |

Computed X-ray powder pattern of Na24In5O15 for CuKα, from DFT lattice parameters and positions (PBE).
Lines closer than 0.1° are merged.

Structure:
```
Na24In5O15
1.0
-5.636 5.636 5.636
5.636 -5.636 5.636
5.636 5.636 -5.636
Na In O
24 5 15
direct
0.000 0.282 0.547
0.000 0.547 0.282
0.000 0.567 0.784
0.000 0.784 0.567
0.216 0.216 0.783
0.216 0.783 0.216
0.217 0.433 0.433
0.265 0.718 0.718
0.282 0.000 0.547
0.282 0.547 0.000
0.433 0.217 0.433
0.433 0.433 0.217
0.453 0.453 0.735
0.453 0.735 0.453
0.547 0.000 0.282
0.547 0.282 0.000
0.567 0.000 0.784
0.567 0.784 0.000
0.718 0.265 0.718
0.718 0.718 0.265
0.735 0.453 0.453
0.783 0.216 0.216
0.784 0.000 0.567
0.784 0.567 0.000
0.000 0.000 0.000
0.000 0.000 0.287
0.000 0.287 0.000
0.287 0.000 0.000
0.713 0.713 0.713
0.000 0.308 0.786
0.000 0.500 0.500
0.000 0.786 0.308
0.214 0.214 0.522
0.214 0.522 0.214
0.308 0.000 0.786
0.308 0.786 0.000
0.478 0.692 0.692
0.500 0.000 0.500
0.500 0.500 0.000
0.522 0.214 0.214
0.692 0.478 0.692
0.692 0.692 0.478
0.786 0.000 0.308
0.786 0.308 0.000
```

Top 10 peaks for 10 to 90 degrees two-theta, low angle first:
| Position (°2θ) | intensity |
| --- | --- |
| 11.10 | 817 |
| 19.29 | 1000 |
| 27.41 | 533 |
| 29.65 | 454 |
| 31.75 | 301 |
| 33.74 | 566 |
| 40.82 | 465 |
| 44.00 | 247 |
| 45.52 | 675 |
| 72.08 | 292 |

Computed X-ray powder pattern of KHgP3O9 for CuKα, from DFT lattice parameters and positions (PBE).
Lines closer than 0.1° are merged.

Structure:
```
KHgP3O9
1.0
5.727 0.000 0.000
0.000 11.450 0.000
0.000 0.000 12.733
K Hg P O
4 4 12 36
direct
0.095 0.118 0.079
0.405 0.882 0.579
0.595 0.382 0.921
0.905 0.618 0.421
0.095 0.482 0.137
0.405 0.518 0.637
0.595 0.018 0.863
0.905 0.982 0.363
0.076 0.188 0.814
0.105 0.841 0.852
0.118 0.585 0.872
0.382 0.415 0.372
0.395 0.159 0.352
0.424 0.812 0.314
0.576 0.312 0.186
0.605 0.659 0.148
0.618 0.915 0.128
0.882 0.085 0.628
0.895 0.341 0.648
0.924 0.688 0.686
0.015 0.506 0.955
0.027 0.427 0.582
0.062 0.309 0.748
0.079 0.092 0.721
0.118 0.718 0.915
0.144 0.679 0.620
0.152 0.447 0.323
0.155 0.129 0.311
0.195 0.816 0.371
0.305 0.184 0.871
0.345 0.871 0.811
0.348 0.553 0.823
0.356 0.321 0.120
0.382 0.282 0.415
0.421 0.908 0.221
0.438 0.691 0.248
0.473 0.573 0.082
0.485 0.494 0.455
0.515 0.994 0.045
0.527 0.073 0.418
0.562 0.191 0.252
0.579 0.408 0.279
0.618 0.782 0.085
0.644 0.821 0.380
0.652 0.053 0.677
0.655 0.371 0.689
0.695 0.684 0.629
0.805 0.316 0.129
0.845 0.629 0.189
0.848 0.947 0.177
0.856 0.179 0.880
0.882 0.218 0.585
0.921 0.592 0.779
0.938 0.809 0.752
0.973 0.927 0.918
0.985 0.006 0.545
```

Top 10 peaks for 10 to 90 degrees two-theta, low angle first:
| Position (°2θ) | intensity |
| --- | --- |
| 15.48 | 528 |
| 15.93 | 1000 |
| 18.67 | 430 |
| 23.05 | 690 |
| 26.09 | 387 |
| 27.28 | 472 |
| 28.06 | 613 |
| 28.97 | 456 |
| 35.29 | 304 |
| 41.92 | 402 |